1.
This entry pairs a crystal structure of V14CrW with its simulated X-ray powder pattern. Radiation: λ = 1.5418 Å (Cu Kα). Structure: a crystal structure in Alexandria, relaxed with GGA-PBE.
Peak positions follow from Bragg's law for the DFT cell and can differ from measured ones.

Top 8 peaks for 10 to 90 degrees two-theta, in order of rising 2θ:
2θ (°)  I_rel  index
10.41  11  0 0 1
20.91  14  0 0 2
42.54  100  2 2 2
42.66  20  0 4 0
61.85  12  0 4 4
77.79  12  4 4 0
77.89  12  2 2 6
78.02  12  2 6 2

Structural model:
```
data_V14CrW
_chemical_formula_sum 'V28 Cr2 W2'
_cell_length_a 6.0225
_cell_length_b 8.4776
_cell_length_c 8.4952
_cell_angle_alpha 90.00
_cell_angle_beta 90.00
_cell_angle_gamma 90.00
_symmetry_space_group_name_H-M 'C m m m'
_symmetry_Int_Tables_number 65
_symmetry_space_group_name_Hall '-C 2 2'
loop_
_atom_site_label
_atom_site_type_symbol
_atom_site_fract_x
_atom_site_fract_y
_atom_site_fract_z
V1 V 0.0000 0.0000 0.0000
V2 V 0.0000 0.2501 0.2441
V3 V 0.0000 0.5000 0.0000
V4 V 0.2447 0.0000 0.2522
V5 V 0.2500 0.2500 0.0000
V6 V 0.2500 0.2500 0.5000
Cr1 Cr 0.0000 0.0000 0.5000
W1 W 0.0000 0.5000 0.5000
```



2.
This entry pairs a crystal structure of Ca3SmAl8 with its simulated X-ray powder pattern. Radiation: λ = 1.5418 Å (Cu Kα). Structure: a crystal structure in Alexandria, relaxed with GGA-PBE.
Peak positions follow from Bragg's law for the DFT cell and can differ from measured ones.

Top 8 peaks for 10 to 90 degrees two-theta, in order of rising 2θ:
2θ (°)  I_rel  index
18.06  37  1 0 0
20.50  55  0 1 1
26.56  33  0 1 2
31.55  61  1 1 0
34.50  100  0 1 3
37.26  92  1 1 2
37.92  63  2 0 1
58.09  40  1 2 3

Structural model:
```
data_Ca3SmAl8
_chemical_formula_sum 'Ca3 Sm1 Al8'
_cell_length_a 5.6717
_cell_length_b 5.6717
_cell_length_c 9.1929
_cell_angle_alpha 90.00
_cell_angle_beta 90.00
_cell_angle_gamma 120.00
_symmetry_space_group_name_H-M 'P 3 m 1'
_symmetry_Int_Tables_number 156
_symmetry_space_group_name_Hall 'P 3 -2"'
loop_
_atom_site_label
_atom_site_type_symbol
_atom_site_fract_x
_atom_site_fract_y
_atom_site_fract_z
Ca1 Ca 0.0000 0.0000 0.0000
Ca2 Ca 0.0000 0.0000 0.3664
Ca3 Ca 0.3333 0.6667 0.8681
Sm1 Sm 0.3333 0.6667 0.5012
Al1 Al 0.0086 0.5043 0.1853
Al2 Al 0.3259 0.1629 0.6819
Al3 Al 0.6667 0.3333 0.4345
Al4 Al 0.6667 0.3333 0.9360
```



3.
This entry pairs a crystal structure of Co2H4Rh with its simulated X-ray powder pattern. Radiation: λ = 1.5418 Å (Cu Kα). Structure: a crystal structure in Alexandria, relaxed with GGA-PBE.
Peak positions follow from Bragg's law for the DFT cell and can differ from measured ones.

Top 8 peaks for 10 to 90 degrees two-theta, in order of rising 2θ:
2θ (°)  I_rel  index
29.14  12  1 0 1
38.30  100  1 0 3
39.74  47  1 1 0
53.03  9  0 0 6
57.46  16  2 0 0
68.27  16  1 1 6
71.17  30  2 1 3
82.00  9  2 0 6

Structural model:
```
data_Co2H4Rh
_chemical_formula_sum 'Co4 H8 Rh2'
_cell_length_a 3.2077
_cell_length_b 3.2077
_cell_length_c 10.3604
_cell_angle_alpha 90.00
_cell_angle_beta 90.00
_cell_angle_gamma 90.00
_symmetry_space_group_name_H-M 'I 4/m m m'
_symmetry_Int_Tables_number 139
_symmetry_space_group_name_Hall '-I 4 2'
loop_
_atom_site_label
_atom_site_type_symbol
_atom_site_fract_x
_atom_site_fract_y
_atom_site_fract_z
Co1 Co 0.0000 0.0000 0.1786
H1 H 0.0000 0.0000 0.3306
H2 H 0.0000 0.5000 0.0000
Rh1 Rh 0.0000 0.0000 0.5000
```



4.
This entry pairs a crystal structure of Li2CeIn2Hg2 with its simulated X-ray powder pattern. Radiation: λ = 1.5418 Å (Cu Kα). Structure: a crystal structure in Alexandria, relaxed with GGA-PBE.
Peak positions follow from Bragg's law for the DFT cell and can differ from measured ones.

Top 8 peaks for 10 to 90 degrees two-theta, in order of rising 2θ:
2θ (°)  I_rel  index
11.61  32  0 0 1
23.34  22  0 0 2
26.12  79  2 0 -2
34.63  85  1 1 2
36.61  100  0 2 0
43.87  26  3 1 1
51.27  28  4 0 1
64.63  27  4 2 1

Structural model:
```
data_Li2CeIn2Hg2
_chemical_formula_sum 'Li4 Ce2 In4 Hg4'
_cell_length_a 8.5082
_cell_length_b 4.9073
_cell_length_c 8.1292
_cell_angle_alpha 90.00
_cell_angle_beta 110.33
_cell_angle_gamma 90.00
_symmetry_space_group_name_H-M 'C 1 2/m 1'
_symmetry_Int_Tables_number 12
_symmetry_space_group_name_Hall '-C 2y'
loop_
_atom_site_label
_atom_site_type_symbol
_atom_site_fract_x
_atom_site_fract_y
_atom_site_fract_z
Li1 Li 0.1477 0.0000 0.4425
Ce1 Ce 0.0000 0.0000 0.0000
In1 In 0.0693 0.5000 0.7074
Hg1 Hg 0.2318 0.5000 0.1955
```



5.
This entry pairs a crystal structure of TbDy7Cd4 with its simulated X-ray powder pattern. Radiation: λ = 1.5418 Å (Cu Kα). Structure: a crystal structure in Alexandria, relaxed with GGA-PBE.
Peak positions follow from Bragg's law for the DFT cell and can differ from measured ones.

Top 8 peaks for 10 to 90 degrees two-theta, in order of rising 2θ:
2θ (°)  I_rel  index
28.65  25  4 0 0
29.85  49  4 0 -3
30.52  53  1 1 2
31.40  100  0 2 0
31.72  31  2 0 2
32.05  45  3 1 -3
35.34  75  5 1 -1
43.87  34  4 2 -3

Structural model:
```
data_TbDy7Cd4
_chemical_formula_sum 'Tb2 Dy14 Cd8'
_cell_length_a 14.6889
_cell_length_b 5.6977
_cell_length_c 9.7281
_cell_angle_alpha 90.00
_cell_angle_beta 121.96
_cell_angle_gamma 90.00
_symmetry_space_group_name_H-M 'C 1 2/m 1'
_symmetry_Int_Tables_number 12
_symmetry_space_group_name_Hall '-C 2y'
loop_
_atom_site_label
_atom_site_type_symbol
_atom_site_fract_x
_atom_site_fract_y
_atom_site_fract_z
Tb1 Tb 0.0000 0.0000 0.0000
Dy1 Dy 0.0000 0.5000 0.0000
Dy2 Dy 0.0712 0.0000 0.4127
Dy3 Dy 0.2057 0.0000 0.8808
Dy4 Dy 0.2383 0.5000 0.6941
Cd1 Cd 0.0421 0.5000 0.7121
Cd2 Cd 0.1815 0.5000 0.3416
```